1.
Starting from a structure optimized by DFT (PBE), the X-ray diffraction stick pattern of Tl6Si2O7 was calculated for a wavelength of 1.5418 Å.
Kinematic intensities with the Lorentz-polarization factor, no thermal factor.

Peak list (10 most intense, 5° ≤ 2θ ≤ 70°, low angle first)
Position (°2θ)	I/Imax
17.86	33.6
27.43	21.4
28.41	100.0
30.29	11.7
31.19	44.7
42.70	25.2
47.88	10.4
51.50	12.4
53.82	15.7
55.51	21.7

Cell and atoms:
```
data_Tl6Si2O7
_chemical_formula_sum 'Tl12 Si4 O14'
_space_group_name_H-M_alt 'P 1'
_space_group_IT_number 1
_space_group_name_Hall 'P 1'
_cell_length_a 9.933
_cell_length_b 9.933
_cell_length_c 8.111
_cell_angle_alpha 90.00
_cell_angle_beta 90.00
_cell_angle_gamma 120.00
loop_
_atom_site_label
_atom_site_type_symbol
_atom_site_fract_x
_atom_site_fract_y
_atom_site_fract_z
Tl1 Tl 0.037 0.355 0.370
Tl2 Tl 0.052 0.364 0.878
Tl3 Tl 0.312 0.948 0.878
Tl4 Tl 0.318 0.963 0.370
Tl5 Tl 0.355 0.318 0.630
Tl6 Tl 0.364 0.312 0.122
Tl7 Tl 0.636 0.688 0.878
Tl8 Tl 0.645 0.682 0.370
Tl9 Tl 0.682 0.037 0.630
Tl10 Tl 0.688 0.052 0.122
Tl11 Tl 0.948 0.636 0.122
Tl12 Tl 0.963 0.645 0.630
Si1 Si 0.333 0.667 0.170
Si2 Si 0.333 0.667 0.583
Si3 Si 0.667 0.333 0.417
Si4 Si 0.667 0.333 0.830
O1 O 0.151 0.552 0.116
O2 O 0.151 0.553 0.639
O3 O 0.333 0.667 0.377
O4 O 0.401 0.849 0.116
O5 O 0.402 0.849 0.639
O6 O 0.447 0.598 0.639
O7 O 0.448 0.599 0.116
O8 O 0.552 0.401 0.884
O9 O 0.553 0.402 0.361
O10 O 0.598 0.151 0.361
O11 O 0.599 0.151 0.884
O12 O 0.667 0.333 0.623
O13 O 0.849 0.447 0.361
O14 O 0.849 0.448 0.884
```

=====

2.
Starting from a structure optimized by DFT (PBE), the X-ray diffraction stick pattern of Tl4Si5O12 was calculated for a wavelength of 1.5418 Å.
Kinematic intensities with the Lorentz-polarization factor, no thermal factor.

Peak list (10 most intense, 5° ≤ 2θ ≤ 70°, low angle first)
Position (°2θ)	I/Imax
12.08	76.1
14.16	38.8
25.65	33.5
26.84	66.4
27.05	100.0
28.41	56.7
28.55	49.0
30.26	36.5
31.05	29.9
55.35	26.7

Cell and atoms:
```
data_Tl4Si5O12
_chemical_formula_sum 'Tl8 Si10 O24'
_space_group_name_H-M_alt 'P 1'
_space_group_IT_number 1
_space_group_name_Hall 'P 1'
_cell_length_a 7.536
_cell_length_b 7.536
_cell_length_c 13.328
_cell_angle_alpha 92.83
_cell_angle_beta 92.83
_cell_angle_gamma 103.07
loop_
_atom_site_label
_atom_site_type_symbol
_atom_site_fract_x
_atom_site_fract_y
_atom_site_fract_z
Tl1 Tl 0.034 0.629 0.368
Tl2 Tl 0.075 0.133 0.377
Tl3 Tl 0.133 0.075 0.877
Tl4 Tl 0.371 0.966 0.132
Tl5 Tl 0.629 0.034 0.868
Tl6 Tl 0.867 0.925 0.123
Tl7 Tl 0.925 0.867 0.623
Tl8 Tl 0.966 0.371 0.632
Si1 Si 0.167 0.382 0.102
Si2 Si 0.246 0.638 0.918
Si3 Si 0.362 0.754 0.582
Si4 Si 0.382 0.167 0.602
Si5 Si 0.489 0.511 0.750
Si6 Si 0.511 0.489 0.250
Si7 Si 0.618 0.833 0.398
Si8 Si 0.638 0.246 0.418
Si9 Si 0.754 0.362 0.082
Si10 Si 0.833 0.618 0.898
O1 O 0.035 0.591 0.867
O2 O 0.146 0.669 0.564
O3 O 0.158 0.176 0.059
O4 O 0.176 0.158 0.559
O5 O 0.248 0.538 0.025
O6 O 0.297 0.436 0.208
O7 O 0.331 0.854 0.936
O8 O 0.359 0.534 0.841
O9 O 0.409 0.965 0.633
O10 O 0.436 0.297 0.708
O11 O 0.462 0.752 0.475
O12 O 0.466 0.641 0.659
O13 O 0.534 0.359 0.341
O14 O 0.538 0.248 0.525
O15 O 0.564 0.703 0.292
O16 O 0.591 0.035 0.367
O17 O 0.641 0.466 0.159
O18 O 0.669 0.146 0.064
O19 O 0.703 0.564 0.792
O20 O 0.752 0.462 0.975
O21 O 0.824 0.842 0.441
O22 O 0.842 0.824 0.941
O23 O 0.854 0.331 0.436
O24 O 0.965 0.409 0.133
```

=====

3.
Starting from a structure optimized by DFT (PBE), the X-ray diffraction stick pattern of TlSiO3 was calculated for a wavelength of 1.5418 Å.
Kinematic intensities with the Lorentz-polarization factor, no thermal factor.

Peak list (6 most intense, 5° ≤ 2θ ≤ 70°, low angle first)
Position (°2θ)	I/Imax
24.02	62.2
34.23	100.0
42.25	40.2
49.19	30.1
55.46	29.0
61.29	39.3

Cell and atoms:
```
data_TlSiO3
_chemical_formula_sum 'Tl1 Si1 O3'
_space_group_name_H-M_alt 'P 1'
_space_group_IT_number 1
_space_group_name_Hall 'P 1'
_cell_length_a 3.705
_cell_length_b 3.705
_cell_length_c 3.705
_cell_angle_alpha 90.00
_cell_angle_beta 90.00
_cell_angle_gamma 90.00
loop_
_atom_site_label
_atom_site_type_symbol
_atom_site_fract_x
_atom_site_fract_y
_atom_site_fract_z
Tl1 Tl 0.000 0.000 0.000
Si1 Si 0.500 0.500 0.500
O1 O 0.000 0.500 0.500
O2 O 0.500 0.000 0.500
O3 O 0.500 0.500 0.000
```

=====

4.
Starting from a structure optimized by DFT (PBE), the X-ray diffraction stick pattern of Tl6Si2O7 was calculated for a wavelength of 1.5418 Å.
Kinematic intensities with the Lorentz-polarization factor, no thermal factor.

Peak list (10 most intense, 5° ≤ 2θ ≤ 70°, low angle first)
Position (°2θ)	I/Imax
10.82	15.4
18.79	24.6
26.26	100.0
28.47	22.8
28.88	36.0
32.85	21.5
36.83	15.6
47.46	18.0
48.26	13.6
52.23	15.9

Cell and atoms:
```
data_Tl6Si2O7
_chemical_formula_sum 'Tl6 Si2 O7'
_space_group_name_H-M_alt 'P 1'
_space_group_IT_number 1
_space_group_name_Hall 'P 1'
_cell_length_a 9.444
_cell_length_b 9.444
_cell_length_c 4.881
_cell_angle_alpha 90.00
_cell_angle_beta 90.00
_cell_angle_gamma 120.00
loop_
_atom_site_label
_atom_site_type_symbol
_atom_site_fract_x
_atom_site_fract_y
_atom_site_fract_z
Tl1 Tl 0.017 0.642 0.000
Tl2 Tl 0.273 0.032 0.463
Tl3 Tl 0.358 0.375 0.000
Tl4 Tl 0.625 0.983 0.000
Tl5 Tl 0.759 0.727 0.463
Tl6 Tl 0.968 0.241 0.463
Si1 Si 0.000 0.000 0.928
Si2 Si 0.333 0.667 0.491
O1 O 0.000 0.000 0.587
O2 O 0.072 0.192 0.028
O3 O 0.119 0.928 0.028
O4 O 0.197 0.720 0.490
O5 O 0.280 0.478 0.490
O6 O 0.522 0.803 0.490
O7 O 0.808 0.881 0.028
```

=====

Copy entry 1 word for word.
Starting from a structure optimized by DFT (PBE), the X-ray diffraction stick pattern of Tl6Si2O7 was calculated for a wavelength of 1.5418 Å.
Kinematic intensities with the Lorentz-polarization factor, no thermal factor.

Peak list (10 most intense, 5° ≤ 2θ ≤ 70°, low angle first)
Position (°2θ)	I/Imax
17.86	33.6
27.43	21.4
28.41	100.0
30.29	11.7
31.19	44.7
42.70	25.2
47.88	10.4
51.50	12.4
53.82	15.7
55.51	21.7

Cell and atoms:
```
data_Tl6Si2O7
_chemical_formula_sum 'Tl12 Si4 O14'
_space_group_name_H-M_alt 'P 1'
_space_group_IT_number 1
_space_group_name_Hall 'P 1'
_cell_length_a 9.933
_cell_length_b 9.933
_cell_length_c 8.111
_cell_angle_alpha 90.00
_cell_angle_beta 90.00
_cell_angle_gamma 120.00
loop_
_atom_site_label
_atom_site_type_symbol
_atom_site_fract_x
_atom_site_fract_y
_atom_site_fract_z
Tl1 Tl 0.037 0.355 0.370
Tl2 Tl 0.052 0.364 0.878
Tl3 Tl 0.312 0.948 0.878
Tl4 Tl 0.318 0.963 0.370
Tl5 Tl 0.355 0.318 0.630
Tl6 Tl 0.364 0.312 0.122
Tl7 Tl 0.636 0.688 0.878
Tl8 Tl 0.645 0.682 0.370
Tl9 Tl 0.682 0.037 0.630
Tl10 Tl 0.688 0.052 0.122
Tl11 Tl 0.948 0.636 0.122
Tl12 Tl 0.963 0.645 0.630
Si1 Si 0.333 0.667 0.170
Si2 Si 0.333 0.667 0.583
Si3 Si 0.667 0.333 0.417
Si4 Si 0.667 0.333 0.830
O1 O 0.151 0.552 0.116
O2 O 0.151 0.553 0.639
O3 O 0.333 0.667 0.377
O4 O 0.401 0.849 0.116
O5 O 0.402 0.849 0.639
O6 O 0.447 0.598 0.639
O7 O 0.448 0.599 0.116
O8 O 0.552 0.401 0.884
O9 O 0.553 0.402 0.361
O10 O 0.598 0.151 0.361
O11 O 0.599 0.151 0.884
O12 O 0.667 0.333 0.623
O13 O 0.849 0.447 0.361
O14 O 0.849 0.448 0.884
```